The following is a theoretical powder XRD pattern of TiBi8WBr2O16. It was derived from a GGA+U-relaxed structure, using Cu Ka.

Main lines, sorted by position (2θ from 15° to 90°):
| two_theta | intensity |
| --- | --- |
| 23.41 | 18 |
| 28.95 | 98 |
| 29.09 | 100 |
| 32.01 | 35 |
| 32.37 | 35 |
| 36.37 | 24 |
| 46.16 | 34 |
| 49.22 | 18 |
| 55.57 | 15 |
| 55.81 | 17 |

Structural model:
abc: 30.1164 5.5925 5.5321
angles: 90.00 100.20 90.00
Space group C2 (No. 5)
Symmetry-distinct sites (fractional):
Ti: 0.0000 0.0000 0.0000
Bi: 0.0885 0.5623 0.0751
Bi: 0.0906 0.0461 0.6208
Bi: 0.1772 0.0130 0.1888
Bi: 0.1771 0.5094 0.6696
W: 0.0000 0.4767 0.5000
Br: 0.2504 0.0030 0.7494
O: 0.0135 0.2047 0.2680
O: 0.0147 0.6945 0.2720
O: 0.0619 0.9300 0.9699
O: 0.0630 0.4336 0.6582
O: 0.1386 0.7582 0.3868
O: 0.1398 0.2574 0.3983
O: 0.1413 0.2508 0.8942
O: 0.1405 0.7531 0.8908